The following is a theoretical powder diffraction line list of ScPaMn2O8. It was derived from DFT lattice parameters and positions (GGA+U), using CuKα.

Crystal structure
```
data_ScPaMn2O8
_cell_length_a 6.869
_cell_length_b 6.869
_cell_length_c 6.557
_cell_angle_alpha 90.00
_cell_angle_beta 90.00
_cell_angle_gamma 90.00
_space_group_name_H-M_alt 'I -4 m 2'
_space_group_IT_number 119
_space_group_name_Hall 'I -4 -2'
loop_
_atom_site_label
_atom_site_type_symbol
_atom_site_fract_x
_atom_site_fract_y
_atom_site_fract_z
Sc1 Sc 0.000 0.000 0.000
Pa1 Pa 0.000 0.500 0.250
Mn1 Mn 0.000 0.000 0.500
Mn2 Mn 0.000 0.500 0.750
O1 O 0.000 0.180 0.300
O2 O 0.000 0.317 0.946
```

The 6 most intense peaks (10 to 90 degrees two-theta), sorted by position:
2θ/deg	d_spacing	intensity	index
18.27	4.857	42	1 1 0
18.71	4.743	73	1 0 1
25.94	3.434	100	2 0 0
32.18	2.782	28	2 1 1
32.96	2.717	74	1 1 2
50.40	1.811	64	3 1 2